(1)
MgBIr: calculated X-ray powder pattern (Cu Kα, 1.54184 Å), based on a structure optimized by DFT (PBE).
Peak positions follow from Bragg's law for the DFT cell and can differ from measured ones.

Atomic structure:
a b c (Å): 5.3052 5.3052 9.4950
angles (deg): 90.00 90.00 120.00
Element x y z (fractional)
Mg  0.0000  0.0000  0.0000
Mg  0.0000  0.0000  0.3333
Mg  0.0000  0.0000  0.6667
Mg  0.0000  0.5000  0.1667
Mg  0.5000  0.0000  0.5000
Mg  0.5000  0.5000  0.8333
B  0.2046  0.6023  0.6667
B  0.3977  0.6023  0.3333
B  0.3977  0.7954  0.0000
B  0.6023  0.2046  0.0000
B  0.6023  0.3977  0.3333
B  0.7954  0.3977  0.6667
Ir  0.0000  0.5000  0.4553
Ir  0.0000  0.5000  0.8780
Ir  0.5000  0.0000  0.2114
Ir  0.5000  0.0000  0.7886
Ir  0.5000  0.5000  0.1220
Ir  0.5000  0.5000  0.5447

Principal peaks in the range 2θ from 10° to 90°, low angle first:
4.594 Å, 19.3 deg, intensity 39, (1 0 0); 3.302 Å, 27.0 deg, intensity 100, (1 0 2); 3.165 Å, 28.2 deg, intensity 21, (0 0 3); 2.606 Å, 34.4 deg, intensity 17, (1 0 3); 2.316 Å, 38.9 deg, intensity 40, (1 1 2); 2.297 Å, 39.2 deg, intensity 87, (2 0 0); 2.109 Å, 42.9 deg, intensity 20, (1 0 4); 1.859 Å, 49.0 deg, intensity 33, (2 0 3); 1.755 Å, 52.1 deg, intensity 21, (1 0 5); 1.631 Å, 56.4 deg, intensity 30, (2 1 2)

=====

(2)
Zn2Cd2Ag3: calculated X-ray powder pattern (Cu Kα, 1.54184 Å), based on a structure optimized by DFT (PBE).
Peak positions follow from Bragg's law for the DFT cell and can differ from measured ones.

Atomic structure:
a b c (Å): 5.2444 7.3819 7.2535
angles (deg): 90.00 112.88 90.00
Element x y z (fractional)
Zn  0.1138  0.1663  0.3887
Zn  0.1138  0.3337  0.8887
Zn  0.8862  0.6663  0.1113
Zn  0.8862  0.8337  0.6113
Cd  0.3836  0.0420  0.7838
Cd  0.3836  0.4580  0.2838
Cd  0.6164  0.5420  0.7162
Cd  0.6164  0.9580  0.2162
Ag  0.0000  0.0000  0.0000
Ag  0.0000  0.5000  0.5000
Ag  0.2959  0.6780  0.9306
Ag  0.2959  0.8220  0.4306
Ag  0.7041  0.1780  0.5694
Ag  0.7041  0.3220  0.0694

Principal peaks in the range 2θ from 10° to 90°, low angle first:
2.519 Å, 35.6 deg, intensity 61, (1 2 -2); 2.478 Å, 36.2 deg, intensity 47, (1 2 1); 2.470 Å, 36.4 deg, intensity 81, (2 1 -1); 2.353 Å, 38.2 deg, intensity 63, (1 0 2); 2.338 Å, 38.5 deg, intensity 34, (2 1 -2); 2.309 Å, 39.0 deg, intensity 77, (0 3 1); 2.292 Å, 39.3 deg, intensity 100, (1 1 -3); 2.242 Å, 40.2 deg, intensity 24, (1 1 2); 2.137 Å, 42.3 deg, intensity 21, (2 2 -1); 1.983 Å, 45.8 deg, intensity 40, (1 3 1)